Starting from a DFT-relaxed cell (GGA-PBE, Alexandria), the XRD peak list of AcZn6Ge2 was calculated for Cu Kα.

Crystal structure
a b c (Å): 4.2003 4.2003 9.4669
angles (deg): 90.00 90.00 90.00
Fractional coordinates of all 9 atoms:
Ac 0.0000 0.0000 0.0000
Zn 0.0000 0.0000 0.5000
Zn 0.0000 0.5000 0.3147
Zn 0.0000 0.5000 0.6853
Zn 0.5000 0.0000 0.3147
Zn 0.5000 0.0000 0.6853
Zn 0.5000 0.5000 0.5000
Ge 0.5000 0.5000 0.1487
Ge 0.5000 0.5000 0.8513

Largest 10 diffraction maxima, by intensity, 2θ = 10–90°:
2θ/deg, intensity
35.69, 100
43.07, 71
35.58, 50
28.41, 47
31.57, 41
74.13, 29
41.76, 26
57.06, 26
43.91, 25
52.39, 23



Starting from a DFT-relaxed cell (GGA-PBE, Alexandria), the XRD peak list of La4Sm4Ho3 was calculated for Cu Kα.

Crystal structure
a b c (Å): 10.8286 6.7213 6.7213
angles (deg): 50.96 90.00 90.00
Fractional coordinates of all 11 atoms:
La 0.0000 0.0000 0.0000
La 0.2003 0.8035 0.8035
La 0.5000 0.9267 0.9267
La 0.7997 0.8035 0.8035
Sm 0.0000 0.5890 0.5890
Sm 0.3041 0.1488 0.1488
Sm 0.5000 0.6520 0.6520
Sm 0.6959 0.1488 0.1488
Ho 0.0000 0.2957 0.2957
Ho 0.2881 0.4544 0.4544
Ho 0.7119 0.4544 0.4544

Largest 10 diffraction maxima, by intensity, 2θ = 10–90°:
2θ/deg, intensity
31.65, 100
30.93, 39
30.10, 37
55.46, 28
30.60, 18
61.46, 15
33.09, 14
61.62, 14
44.07, 13
51.87, 12



Starting from a DFT-relaxed cell (GGA-PBE, Alexandria), the XRD peak list of Pm3NdOs8 was calculated for Cu Kα.

Crystal structure
a b c (Å): 9.4066 9.4066 9.4066
angles (deg): 33.53 33.53 33.53
Fractional coordinates of all 12 atoms:
Pm 0.0000 0.0000 0.0000
Pm 0.1251 0.1251 0.1251
Pm 0.6250 0.6250 0.6250
Nd 0.4998 0.4998 0.4998
Os 0.0612 0.5627 0.5627
Os 0.0626 0.0626 0.5630
Os 0.0626 0.5630 0.0626
Os 0.3127 0.3127 0.3127
Os 0.5627 0.0612 0.5627
Os 0.5630 0.0627 0.0626
Os 0.5627 0.5627 0.0612
Os 0.8126 0.8126 0.8126

Largest 10 diffraction maxima, by intensity, 2θ = 10–90°:
2θ/deg, intensity
38.91, 100
40.71, 49
62.90, 33
69.23, 30
33.00, 20
83.53, 19
20.03, 14
82.37, 12
47.36, 9
58.94, 8



Starting from a DFT-relaxed cell (GGA-PBE, Alexandria), the XRD peak list of LiNd8Zn2 was calculated for Cu Kα.

Crystal structure
a b c (Å): 9.5467 9.5467 7.1644
angles (deg): 105.14 105.14 31.83
Fractional coordinates of all 11 atoms:
Li 0.0000 0.0000 0.0000
Nd 0.0919 0.0919 0.4669
Nd 0.1675 0.1675 0.9687
Nd 0.3054 0.3054 0.6906
Nd 0.4712 0.4712 0.2352
Nd 0.5288 0.5288 0.7648
Nd 0.6946 0.6946 0.3094
Nd 0.8325 0.8325 0.0313
Nd 0.9081 0.9081 0.5331
Zn 0.3121 0.3121 0.2799
Zn 0.6879 0.6879 0.7201

Largest 10 diffraction maxima, by intensity, 2θ = 10–90°:
2θ/deg, intensity
30.32, 100
34.25, 51
28.18, 48
30.52, 38
32.62, 37
31.33, 19
58.92, 17
42.85, 12
35.47, 12
37.18, 11



Starting from a DFT-relaxed cell (GGA-PBE, Alexandria), the XRD peak list of PuBiSe2O was calculated for Cu Kα.

Crystal structure
a b c (Å): 4.0572 4.0572 14.7800
angles (deg): 90.00 90.00 90.00
Fractional coordinates of all 10 atoms:
Pu 0.2500 0.2500 0.0780
Pu 0.7500 0.7500 0.9220
Bi 0.2500 0.2500 0.6354
Bi 0.7500 0.7500 0.3646
Se 0.2500 0.2500 0.4041
Se 0.2500 0.2500 0.8207
Se 0.7500 0.7500 0.1793
Se 0.7500 0.7500 0.5959
O 0.2500 0.7500 0.0000
O 0.7500 0.2500 0.0000

Largest 10 diffraction maxima, by intensity, 2θ = 10–90°:
2θ/deg, intensity
31.18, 100
25.04, 68
37.65, 55
39.78, 44
44.67, 42
28.50, 34
24.09, 33
53.89, 33
59.81, 29
78.58, 22



Starting from a DFT-relaxed cell (GGA-PBE, Alexandria), the XRD peak list of Lu3HfH was calculated for Cu Kα.

Crystal structure
a b c (Å): 4.7502 4.7502 4.7502
angles (deg): 90.00 90.00 90.00
Fractional coordinates of all 5 atoms:
Lu 0.0000 0.0000 0.5000
Lu 0.0000 0.5000 0.0000
Lu 0.5000 0.0000 0.0000
Hf 0.5000 0.5000 0.5000
H 0.0000 0.0000 0.0000

Largest 6 diffraction maxima, by intensity, 2θ = 10–90°:
2θ/deg, intensity
32.65, 100
37.88, 51
65.13, 42
54.65, 36
68.42, 12
80.96, 6



Copy entry 6 word for word.
Starting from a DFT-relaxed cell (GGA-PBE, Alexandria), the XRD peak list of Lu3HfH was calculated for Cu Kα.

Crystal structure
a b c (Å): 4.7502 4.7502 4.7502
angles (deg): 90.00 90.00 90.00
Fractional coordinates of all 5 atoms:
Lu 0.0000 0.0000 0.5000
Lu 0.0000 0.5000 0.0000
Lu 0.5000 0.0000 0.0000
Hf 0.5000 0.5000 0.5000
H 0.0000 0.0000 0.0000

Largest 6 diffraction maxima, by intensity, 2θ = 10–90°:
2θ/deg, intensity
32.65, 100
37.88, 51
65.13, 42
54.65, 36
68.42, 12
80.96, 6



Copy entry 4 word for word.
Starting from a DFT-relaxed cell (GGA-PBE, Alexandria), the XRD peak list of LiNd8Zn2 was calculated for Cu Kα.

Crystal structure
a b c (Å): 9.5467 9.5467 7.1644
angles (deg): 105.14 105.14 31.83
Fractional coordinates of all 11 atoms:
Li 0.0000 0.0000 0.0000
Nd 0.0919 0.0919 0.4669
Nd 0.1675 0.1675 0.9687
Nd 0.3054 0.3054 0.6906
Nd 0.4712 0.4712 0.2352
Nd 0.5288 0.5288 0.7648
Nd 0.6946 0.6946 0.3094
Nd 0.8325 0.8325 0.0313
Nd 0.9081 0.9081 0.5331
Zn 0.3121 0.3121 0.2799
Zn 0.6879 0.6879 0.7201

Largest 10 diffraction maxima, by intensity, 2θ = 10–90°:
2θ/deg, intensity
30.32, 100
34.25, 51
28.18, 48
30.52, 38
32.62, 37
31.33, 19
58.92, 17
42.85, 12
35.47, 12
37.18, 11



What is the formula in the second record? La4Sm4Ho3